Fe5CoN4: computed powder X-ray diffraction pattern (Cu Kα), based on a structure optimized by DFT (GGA-PBE).
Kinematic intensities with the Lorentz-polarization factor, no thermal factor.

Structural model:
```
Fe5CoN4
1.0
5.6758 0.0000 0.0000
0.0000 6.8503 0.0000
0.0000 0.0000 4.6796
Fe Co N
10 2 8
direct
0.0040 0.0561 0.2486 Fe
0.0040 0.4439 0.2486 Fe
0.2500 0.7500 0.2940 Fe
0.4960 0.0561 0.2486 Fe
0.4960 0.4439 0.2486 Fe
0.5040 0.5561 0.7514 Fe
0.5040 0.9439 0.7514 Fe
0.7500 0.2500 0.7060 Fe
0.9960 0.5561 0.7514 Fe
0.9960 0.9439 0.7514 Fe
0.2500 0.2500 0.7067 Co
0.7500 0.7500 0.2933 Co
0.0043 0.7500 0.0247 N
0.2500 0.5092 0.5038 N
0.2500 0.9908 0.5038 N
0.4957 0.7500 0.0247 N
0.5043 0.2500 0.9753 N
0.7500 0.0092 0.4962 N
0.7500 0.4908 0.4962 N
0.9957 0.2500 0.9753 N
```

The 10 most intense peaks (5 to 70 degrees two-theta), sorted by position:
31.53°, intensity 16
37.05°, intensity 12
38.47°, intensity 59
39.39°, intensity 100
41.31°, intensity 72
44.13°, intensity 100
50.56°, intensity 11
53.51°, intensity 11
57.73°, intensity 84
65.81°, intensity 25